No. 1
For OsW3, a DFT-relaxed cell (PBE, Alexandria) gives the simulated PXRD pattern in this record (Cu Ka).

```
data_OsW3
_cell_length_a 4.5498
_cell_length_b 5.5375
_cell_length_c 5.0550
_cell_angle_alpha 90.00
_cell_angle_beta 90.00
_cell_angle_gamma 90.00
_symmetry_space_group_name_H-M 'P m m n'
_symmetry_Int_Tables_number 59
loop_
_symmetry_equiv_pos_as_xyz
'x,y,z'
'-x,-y,-z'
'-x+1/2,-y+1/2,z'
'x+1/2,y+1/2,-z'
'x+1/2,-y,-z'
'-x+1/2,y,z'
'-x,y+1/2,-z'
'x,-y+1/2,z'
loop_
_atom_site_label
_atom_site_type_symbol
_atom_site_fract_x
_atom_site_fract_y
_atom_site_fract_z
Os1 Os 0.2500 0.2500 0.1713
W1 W 0.2500 0.0139 0.6515
W2 W 0.2500 0.7500 0.1207
```

Largest 10 diffraction maxima, sorted by position, 10° ≤ 2θ ≤ 90°:
| 2θ (°) | d/Å | Rel. int. |
| --- | --- | --- |
| 37.02 | 2.428 | 39 |
| 39.62 | 2.275 | 47 |
| 40.84 | 2.209 | 75 |
| 42.18 | 2.142 | 100 |
| 55.34 | 1.660 | 25 |
| 64.77 | 1.439 | 18 |
| 72.71 | 1.300 | 14 |
| 73.64 | 1.286 | 20 |
| 78.65 | 1.217 | 24 |
| 82.17 | 1.173 | 19 |



No. 2
For Nd3Y4Tm8, a DFT-relaxed cell (PBE, Alexandria) gives the simulated PXRD pattern in this record (Cu Ka).

```
data_Nd3Y4Tm8
_cell_length_a 13.3306
_cell_length_b 12.8177
_cell_length_c 6.7210
_cell_angle_alpha 90.00
_cell_angle_beta 120.23
_cell_angle_gamma 90.00
_symmetry_space_group_name_H-M 'C 1 2/m 1'
_symmetry_Int_Tables_number 12
loop_
_symmetry_equiv_pos_as_xyz
'x,y,z'
'-x,-y,-z'
'-x,y,-z'
'x,-y,z'
'x+1/2,y+1/2,z'
'-x+1/2,-y+1/2,-z'
'-x+1/2,y+1/2,-z'
'x+1/2,-y+1/2,z'
loop_
_atom_site_label
_atom_site_type_symbol
_atom_site_fract_x
_atom_site_fract_y
_atom_site_fract_z
Nd1 Nd 0.0000 0.0000 0.0000
Nd2 Nd 0.2500 0.2500 0.0000
Y1 Y 0.0000 0.5000 0.0000
Y2 Y 0.0000 0.5000 0.5000
Y3 Y 0.2500 0.2500 0.5000
Tm1 Tm 0.0000 0.1387 0.5000
Tm2 Tm 0.0000 0.2456 0.0000
Tm3 Tm 0.2321 0.0000 0.9698
Tm4 Tm 0.2334 0.0000 0.4928
```

Largest 10 diffraction maxima, sorted by position, 10° ≤ 2θ ≤ 90°:
| 2θ (°) | d/Å | Rel. int. |
| --- | --- | --- |
| 10.33 | 8.567 | 18 |
| 27.84 | 3.204 | 32 |
| 30.81 | 2.902 | 100 |
| 31.06 | 2.879 | 47 |
| 31.92 | 2.804 | 38 |
| 38.99 | 2.310 | 16 |
| 42.00 | 2.151 | 41 |
| 42.19 | 2.142 | 19 |
| 55.10 | 1.667 | 17 |
| 66.68 | 1.403 | 20 |



No. 3
For NaZnIn4, a DFT-relaxed cell (PBE, Alexandria) gives the simulated PXRD pattern in this record (Cu Ka).

```
data_NaZnIn4
_cell_length_a 7.6538
_cell_length_b 4.4150
_cell_length_c 10.4311
_cell_angle_alpha 90.00
_cell_angle_beta 104.28
_cell_angle_gamma 90.00
_symmetry_space_group_name_H-M 'C 1 2/m 1'
_symmetry_Int_Tables_number 12
loop_
_symmetry_equiv_pos_as_xyz
'x,y,z'
'-x,-y,-z'
'-x,y,-z'
'x,-y,z'
'x+1/2,y+1/2,z'
'-x+1/2,-y+1/2,-z'
'-x+1/2,y+1/2,-z'
'x+1/2,-y+1/2,z'
loop_
_atom_site_label
_atom_site_type_symbol
_atom_site_fract_x
_atom_site_fract_y
_atom_site_fract_z
Na1 Na 0.0000 0.0000 0.0000
Zn1 Zn 0.0000 0.5000 0.5000
In1 In 0.0978 0.5000 0.7921
In2 In 0.1285 0.0000 0.3861
```

Largest 10 diffraction maxima, sorted by position, 10° ≤ 2θ ≤ 90°:
| 2θ (°) | d/Å | Rel. int. |
| --- | --- | --- |
| 23.99 | 3.709 | 34 |
| 26.09 | 3.415 | 100 |
| 31.19 | 2.867 | 37 |
| 33.28 | 2.693 | 72 |
| 37.86 | 2.376 | 28 |
| 40.33 | 2.237 | 66 |
| 40.86 | 2.208 | 95 |
| 49.13 | 1.854 | 17 |
| 62.23 | 1.492 | 17 |
| 69.60 | 1.351 | 16 |